Starting from the GGA-PBE geometry in Alexandria, the powder XRD pattern of NdPb7F17 was calculated for Cu Ka.
Kinematic intensities with the Lorentz-polarization factor, no thermal factor.

Principal peaks in the range 2θ from 10° to 90°, in order of rising 2θ:
25.45°, I 34.9
26.01°, I 100.0
29.96°, I 47.2
42.53°, I 39.1
43.24°, I 39.3
50.22°, I 17.7
50.85°, I 33.3
51.16°, I 16.5
53.50°, I 10.4
62.26°, I 12.3

Structure:
Lattice parameters (Å, degrees): 4.1808 4.1849 28.0988 85.75 85.74 60.07
Atoms (fractional coordinates):
Nd: 0.0000 0.0000 0.0000
Pb: 0.1246 0.1239 0.6305
Pb: 0.2494 0.2472 0.2551
Pb: 0.3731 0.3764 0.8808
Pb: 0.5001 0.4965 0.5053
Pb: 0.6245 0.6250 0.1275
Pb: 0.7488 0.7508 0.7563
Pb: 0.8750 0.8712 0.3799
F: 0.0285 0.0337 0.9137
F: 0.0921 0.0946 0.7252
F: 0.1563 0.1522 0.5375
F: 0.2195 0.2157 0.3465
F: 0.2816 0.2817 0.1560
F: 0.3334 0.3358 0.9991
F: 0.4032 0.4059 0.7911
F: 0.4688 0.4677 0.5985
F: 0.5314 0.5268 0.4114
F: 0.5934 0.5909 0.2232
F: 0.6519 0.6537 0.0432
F: 0.6805 0.6870 0.9572
F: 0.7173 0.7223 0.8478
F: 0.7808 0.7800 0.6623
F: 0.8444 0.8403 0.4733
F: 0.9059 0.9023 0.2866
F: 0.9700 0.9718 0.0892

=====

Starting from the GGA-PBE geometry in Alexandria, the powder XRD pattern of PmNdF6 was calculated for Cu Ka.
Kinematic intensities with the Lorentz-polarization factor, no thermal factor.

Principal peaks in the range 2θ from 10° to 90°, in order of rising 2θ:
19.46°, I 71.7
24.93°, I 100.0
31.82°, I 62.3
39.51°, I 14.5
43.91°, I 42.2
47.29°, I 43.7
48.45°, I 38.3
51.15°, I 14.1
55.24°, I 14.3
60.53°, I 23.5

Structure:
Lattice parameters (Å, degrees): 6.1449 6.1449 7.1415 125.45 125.45 39.22
Atoms (fractional coordinates):
Pm: 0.0000 0.0000 0.0000
Nd: 0.5000 0.5000 0.5000
F: 0.0512 0.0512 0.7193
F: 0.2486 0.2486 0.2500
F: 0.4494 0.4494 0.7842
F: 0.5506 0.5506 0.2158
F: 0.7514 0.7514 0.7500
F: 0.9488 0.9488 0.2807

=====

Starting from the GGA-PBE geometry in Alexandria, the powder XRD pattern of PrNd2F11 was calculated for Cu Ka.
Kinematic intensities with the Lorentz-polarization factor, no thermal factor.

Principal peaks in the range 2θ from 10° to 90°, in order of rising 2θ:
14.99°, I 28.4
19.97°, I 100.0
21.01°, I 42.9
22.55°, I 81.6
23.24°, I 65.2
25.32°, I 27.5
41.16°, I 31.3
43.03°, I 45.9
44.44°, I 28.0
62.69°, I 25.3

Structure:
Lattice parameters (Å, degrees): 9.0606 9.0606 9.0606 122.21 108.52 98.59
Atoms (fractional coordinates):
Pr: 0.2500 0.2500 0.0000
Pr: 0.7500 0.7500 0.0000
Nd: 0.1901 0.6611 0.8512
Nd: 0.3099 0.1611 0.4711
Nd: 0.6901 0.8389 0.5289
Nd: 0.8099 0.3389 0.1488
F: 0.0000 0.5000 0.5000
F: 0.0284 0.9608 0.2754
F: 0.0554 0.3342 0.1267
F: 0.1854 0.4608 0.9324
F: 0.1893 0.3924 0.5817
F: 0.2076 0.9287 0.8733
F: 0.2924 0.1658 0.7211
F: 0.3107 0.8924 0.2032
F: 0.3146 0.2470 0.2754
F: 0.4446 0.5713 0.2789
F: 0.4716 0.7470 0.9324
F: 0.5000 0.0000 0.5000
F: 0.5284 0.2530 0.0676
F: 0.5554 0.4287 0.7211
F: 0.6854 0.7530 0.7246
F: 0.6893 0.1076 0.7968
F: 0.7076 0.8342 0.2789
F: 0.7924 0.0713 0.1267
F: 0.8107 0.6076 0.4183
F: 0.8146 0.5392 0.0676
F: 0.9446 0.6658 0.8733
F: 0.9716 0.0392 0.7246

=====

Starting from the GGA-PBE geometry in Alexandria, the powder XRD pattern of RbNd3F10 was calculated for Cu Ka.
Kinematic intensities with the Lorentz-polarization factor, no thermal factor.

Principal peaks in the range 2θ from 10° to 90°, in order of rising 2θ:
25.33°, I 100.0
29.33°, I 41.2
41.96°, I 49.2
49.65°, I 57.5
52.02°, I 13.4
60.85°, I 8.4
66.98°, I 19.9
68.97°, I 13.9
76.66°, I 17.0
82.27°, I 12.7

Structure:
Lattice parameters (Å, degrees): 8.6119 8.6119 8.6119 60.00 60.00 60.00
Atoms (fractional coordinates):
Rb: 0.2500 0.2500 0.2500
Rb: 0.7500 0.7500 0.7500
Nd: 0.2400 0.2400 0.7600
Nd: 0.2400 0.7600 0.2400
Nd: 0.2400 0.7600 0.7600
Nd: 0.7600 0.2400 0.2400
Nd: 0.7600 0.2400 0.7600
Nd: 0.7600 0.7600 0.2400
F: 0.1108 0.1108 0.1108
F: 0.1108 0.1108 0.6675
F: 0.1108 0.6675 0.1108
F: 0.1704 0.5000 0.5000
F: 0.1704 0.5000 0.8296
F: 0.1704 0.8296 0.5000
F: 0.3325 0.8892 0.8892
F: 0.5000 0.1704 0.5000
F: 0.5000 0.1704 0.8296
F: 0.5000 0.5000 0.1704
F: 0.5000 0.5000 0.8296
F: 0.5000 0.8296 0.1704
F: 0.5000 0.8296 0.5000
F: 0.6675 0.1108 0.1108
F: 0.8296 0.1704 0.5000
F: 0.8296 0.5000 0.1704
F: 0.8296 0.5000 0.5000
F: 0.8892 0.3325 0.8892
F: 0.8892 0.8892 0.3325
F: 0.8892 0.8892 0.8892

=====

Starting from the GGA-PBE geometry in Alexandria, the powder XRD pattern of Nd4Te5F was calculated for Cu Ka.
Kinematic intensities with the Lorentz-polarization factor, no thermal factor.

Principal peaks in the range 2θ from 10° to 90°, in order of rising 2θ:
21.42°, I 52.0
24.58°, I 41.9
26.77°, I 61.1
27.41°, I 33.5
31.17°, I 77.7
32.78°, I 97.7
35.35°, I 100.0
38.62°, I 37.0
39.06°, I 34.5
42.59°, I 45.0

Structure:
Lattice parameters (Å, degrees): 10.0772 10.0772 7.8890 97.54 97.54 24.32
Atoms (fractional coordinates):
Nd: 0.0228 0.0228 0.2232
Nd: 0.2767 0.2767 0.7721
Nd: 0.7233 0.7233 0.2279
Nd: 0.9772 0.9772 0.7768
Te: 0.1426 0.1426 0.9634
Te: 0.1635 0.1635 0.4556
Te: 0.5000 0.5000 0.5000
Te: 0.8365 0.8365 0.5444
Te: 0.8574 0.8574 0.0366
F: 0.5000 0.5000 0.0000

=====

Starting from the GGA-PBE geometry in Alexandria, the powder XRD pattern of Nd2Tl3F8 was calculated for Cu Ka.
Kinematic intensities with the Lorentz-polarization factor, no thermal factor.

Principal peaks in the range 2θ from 10° to 90°, in order of rising 2θ:
12.04°, I 29.7
24.21°, I 71.0
25.09°, I 33.5
25.33°, I 50.0
25.54°, I 45.2
30.87°, I 32.2
31.41°, I 48.2
33.74°, I 45.0
40.04°, I 100.0
59.88°, I 26.0

Structure:
Lattice parameters (Å, degrees): 8.3961 8.3961 4.0041 90.00 90.00 122.29
Atoms (fractional coordinates):
Nd: 0.2464 0.7536 0.0000
Nd: 0.7536 0.2464 0.0000
Tl: 0.1940 0.1940 0.5000
Tl: 0.5000 0.5000 0.0000
Tl: 0.8060 0.8060 0.5000
F: 0.0927 0.4122 0.0000
F: 0.1565 0.8435 0.5000
F: 0.3357 0.6643 0.5000
F: 0.4122 0.0927 0.0000
F: 0.5878 0.9073 0.0000
F: 0.6643 0.3357 0.5000
F: 0.8435 0.1565 0.5000
F: 0.9073 0.5878 0.0000

=====

Starting from the GGA-PBE geometry in Alexandria, the powder XRD pattern of NdTmF was calculated for Cu Ka.
Kinematic intensities with the Lorentz-polarization factor, no thermal factor.

Principal peaks in the range 2θ from 10° to 90°, in order of rising 2θ:
28.01°, I 29.2
28.86°, I 27.8
31.59°, I 100.0
40.65°, I 20.7
49.57°, I 24.0
52.88°, I 21.9
58.38°, I 22.4
59.98°, I 16.4
75.41°, I 7.5
81.44°, I 13.9

Structure:
Lattice parameters (Å, degrees): 3.6778 3.6778 12.3767 90.00 90.00 120.00
Atoms (fractional coordinates):
Nd: 0.3333 0.6667 0.3782
Nd: 0.6667 0.3333 0.6218
Tm: 0.3333 0.6667 0.8544
Tm: 0.6667 0.3333 0.1456
F: 0.3333 0.6667 0.0554
F: 0.6667 0.3333 0.9446

=====

- Which formula does entry 5 have?
  Nd4Te5F